Theoretical XRD peak list of TlN2O4 for CuKα, from a crystal structure in Alexandria, relaxed with GGA-PBE.
Lines closer than 0.1° are merged.

Peak list (6 most intense, 10° ≤ 2θ ≤ 80°, in order of falling intensity)
- hkl 1 1 0, 2θ 16.4, I 100
- hkl 1 1 1, 2θ 25.8, I 79
- hkl 2 2 0, 2θ 33.1, I 58
- hkl 0 2 1, 2θ 30.6, I 56
- hkl 2 0 1, 2θ 30.9, I 55
- hkl 0 0 1, 2θ 19.8, I 36

Crystal structure
```
data_TlN2O4
_space_group_name_H-M_alt 'C m m m'
_space_group_IT_number 65
_space_group_name_Hall '-C 2 2'
_cell_length_a 7.5898
_cell_length_b 7.7043
_cell_length_c 4.4822
_cell_angle_alpha 90.00
_cell_angle_beta 90.00
_cell_angle_gamma 90.00
loop_
_atom_site_label
_atom_site_type_symbol
_atom_site_fract_x
_atom_site_fract_y
_atom_site_fract_z
Tl1 Tl 0.0000 0.0000 0.0000
N1 N 0.0000 0.5000 0.1244
O1 O 0.2500 0.2500 0.3571
```